This entry pairs a crystal structure of AcLa4PrHo2 with its calculated PXRD pattern. Radiation: CuKα. Structure: DFT lattice parameters and positions (GGA-PBE).
Peak positions follow from Bragg's law for the DFT cell and can differ from measured ones.

Structural model:
```
AcLa4PrHo2
1.0
11.7399 0.0000 0.0000
0.0000 5.2564 0.0000
-4.7695 0.0000 9.4179
Ac La Pr Ho
2 8 2 4
Direct
0.0000 0.0000 0.0000 Ac
0.5000 0.5000 0.0000 Ac
0.2477 0.0000 0.8714 La
0.2493 0.5000 0.6232 La
0.2507 0.0000 0.3768 La
0.2523 0.5000 0.1286 La
0.7477 0.5000 0.8714 La
0.7493 0.0000 0.6232 La
0.7507 0.5000 0.3768 La
0.7523 0.0000 0.1286 La
0.0000 0.0000 0.5000 Pr
0.5000 0.5000 0.5000 Pr
0.0005 0.5000 0.7460 Ho
0.4995 0.0000 0.2540 Ho
0.5005 0.0000 0.7460 Ho
0.9995 0.5000 0.2540 Ho
```

Principal peaks in the range 10° ≤ 2θ ≤ 90°, in order of rising 2θ:
2theta	I_rel
29.43	100
33.97	17
34.11	17
34.25	17
48.92	18
49.10	18
58.21	15
58.38	15

This entry pairs a crystal structure of Zn6InPd12 with its calculated PXRD pattern. Radiation: CuKα. Structure: DFT lattice parameters and positions (GGA-PBE).
Peak positions follow from Bragg's law for the DFT cell and can differ from measured ones.

Structural model:
```
Zn6InPd12
1.0
5.6087 3.2382 2.8138
-5.6087 3.2382 2.8138
0.0000 -6.4763 2.8138
Zn In Pd
6 1 12
Direct
0.0543 0.3385 0.3385 Zn
0.3385 0.0543 0.3385 Zn
0.3385 0.3385 0.0543 Zn
0.6615 0.6615 0.9457 Zn
0.6615 0.9457 0.6615 Zn
0.9457 0.6615 0.6615 Zn
0.5000 0.5000 0.5000 In
0.0573 0.0573 0.6951 Pd
0.0573 0.6951 0.0573 Pd
0.2400 0.5000 0.7600 Pd
0.2400 0.7600 0.5000 Pd
0.3049 0.9427 0.9427 Pd
0.5000 0.2400 0.7600 Pd
0.5000 0.7600 0.2400 Pd
0.6951 0.0573 0.0573 Pd
0.7600 0.2400 0.5000 Pd
0.7600 0.5000 0.2400 Pd
0.9427 0.3049 0.9427 Pd
0.9427 0.9427 0.3049 Pd
```

Principal peaks in the range 10° ≤ 2θ ≤ 90°, in order of rising 2θ:
2theta	I_rel
38.57	100
39.69	49
41.93	23
42.57	94
42.97	26
48.71	25
66.67	20
74.50	21

This entry pairs a crystal structure of Te2S4F with its calculated PXRD pattern. Radiation: CuKα. Structure: DFT lattice parameters and positions (GGA-PBE).
Peak positions follow from Bragg's law for the DFT cell and can differ from measured ones.

Structural model:
```
Te2S4F
1.0
6.8780 -3.9283 0.0000
6.8780 3.9283 0.0000
-4.1947 0.0000 6.3492
Te S F
4 8 2
Direct
0.0000 0.0000 0.0000 Te
0.0000 0.0000 0.5000 Te
0.0000 0.5000 0.0000 Te
0.5000 0.0000 0.0000 Te
0.2250 0.7459 0.2302 S
0.2394 0.2394 0.7447 S
0.2399 0.2399 0.2547 S
0.2541 0.7750 0.7698 S
0.7459 0.2250 0.2302 S
0.7601 0.7601 0.7453 S
0.7606 0.7606 0.2553 S
0.7750 0.2541 0.7698 S
0.3897 0.3897 0.4086 F
0.6103 0.6103 0.5914 F
```

Principal peaks in the range 10° ≤ 2θ ≤ 90°, in order of rising 2θ:
2theta	I_rel
13.66	71
13.97	81
26.69	39
27.18	24
31.17	46
32.77	100
35.16	19
45.85	60